Structure and computed X-ray powder pattern of SmScHg (a PBE-relaxed structure; Cu Kα, 1.54184 Å).

Top 10 peaks for 2θ = 10–90°, sorted by position:
2θ/deg  I (rel.)  (hkl)
26.9  100  1 1 0
29.6  26  1 1 1
30.8  51  1 0 2
36.4  76  1 1 2
38.4  66  2 0 0
41.4  49  1 0 3
50.1  27  2 1 2
55.5  23  2 2 0
57.8  37  2 1 3
68.2  25  3 1 2

Structural model:
a = 4.683 Å, b = 4.683 Å, c = 7.394 Å
α = 90.00°, β = 90.00°, γ = 90.00°
Space group P4/nmm (No. 129, origin choice 2)
Inequivalent atoms, fractional coordinates:
1 Sm 0.250 0.250 0.140 x2
2 Sc 0.250 0.750 0.500 x2
3 Hg 0.250 0.250 0.736 x2

=====

Structure and computed X-ray powder pattern of SmSc3Hg4 (a PBE-relaxed structure; Cu Kα, 1.54184 Å).

Top 10 peaks for 2θ = 10–90°, sorted by position:
2θ/deg  I (rel.)  (hkl)
24.2  13  0 0 2
25.0  27  1 1 0
35.1  100  1 1 2
35.7  50  2 0 0
43.6  12  2 0 2
49.7  8  0 0 4
51.4  18  2 2 0
62.6  17  2 0 4
63.8  35  3 1 2
74.2  10  2 2 4

Structural model:
a = 5.031 Å, b = 5.031 Å, c = 7.343 Å
α = 90.00°, β = 90.00°, γ = 90.00°
Space group P4/mmm (No. 123)
Inequivalent atoms, fractional coordinates:
1 Sm 0.000 0.000 0.000 x1
2 Sc 0.000 0.000 0.500 x1
3 Sc 0.500 0.500 0.000 x1
4 Sc 0.500 0.500 0.500 x1
5 Hg 0.000 0.500 0.268 x4

=====

Structure and computed X-ray powder pattern of Sm4ScHg (a PBE-relaxed structure; Cu Kα, 1.54184 Å).

Top 10 peaks for 2θ = 10–90°, sorted by position:
2θ/deg  I (rel.)  (hkl)
12.3  87  1 1 0
24.3  29  1 3 -1
28.4  31  1 3 1
31.4  70  3 1 -1
32.6  73  2 2 1
32.7  42  0 2 2
33.3  86  2 2 -2
33.5  100  1 5 0
34.3  81  1 3 -2
58.8  41  2 0 -4

Structural model:
a = 8.820 Å, b = 14.112 Å, c = 6.288 Å
α = 90.00°, β = 109.15°, γ = 90.00°
Space group C2/c (No. 15)
Inequivalent atoms, fractional coordinates:
1 Sm 0.101 0.191 0.052 x8
2 Sm 0.208 0.397 0.368 x8
3 Sc 0.000 0.398 0.750 x4
4 Hg 0.000 0.001 0.750 x4

=====

Structure and computed X-ray powder pattern of Sm3ScHg2 (a PBE-relaxed structure; Cu Kα, 1.54184 Å).

Top 10 peaks for 2θ = 10–90°, sorted by position:
2θ/deg  I (rel.)  (hkl)
19.5  18  1 1 0
26.2  22  0 0 2
31.4  35  1 0 2
32.4  28  0 2 2
32.8  79  1 1 2
33.3  100  1 3 0
34.4  57  2 0 0
42.8  31  1 3 2
48.0  18  2 2 2
60.9  18  3 3 0

Structural model:
a = 5.211 Å, b = 9.426 Å, c = 6.814 Å
α = 90.00°, β = 90.00°, γ = 90.00°
Space group Pmc2_1 (No. 26)
Inequivalent atoms, fractional coordinates:
1 Sm 0.000 0.047 0.000 x2
2 Sm 0.000 0.335 0.325 x2
3 Sm 0.500 0.183 0.694 x2
4 Sc 0.500 0.453 0.029 x2
5 Hg 0.000 0.349 0.791 x2
6 Hg 0.500 0.155 0.237 x2

=====

Structure and computed X-ray powder pattern of TbSmSc2Hg4 (a PBE-relaxed structure; Cu Kα, 1.54184 Å).

Top 10 peaks for 2θ = 10–90°, sorted by position:
2θ/deg  I (rel.)  (hkl)
21.1  7  0 1 2
24.4  13  1 0 4
34.7  100  1 1 0
49.9  18  2 0 8
56.3  6  2 1 4
62.2  9  1 0 16
62.3  28  3 0 0
73.2  6  0 2 16
73.4  6  2 2 0
83.7  17  3 1 8

Structural model:
a = 5.1611 Å, b = 5.1611 Å, c = 25.3442 Å
α = 90.00°, β = 90.00°, γ = 120.00°
Space group R-3m (No. 166, hexagonal axes)
Inequivalent atoms, fractional coordinates:
1 Tb 0.0000 0.0000 0.0000 x3
2 Sm 0.0000 0.0000 0.5000 x3
3 Sc 0.0000 0.0000 0.2502 x6
4 Hg 0.0000 0.0000 0.1236 x6
5 Hg 0.0000 0.0000 0.3738 x6

=====

Structure and computed X-ray powder pattern of Sc4SnHg3 (a PBE-relaxed structure; Cu Kα, 1.54184 Å).

Top 10 peaks for 2θ = 10–90°, sorted by position:
2θ/deg  I (rel.)  (hkl)
25.2  87  1 0 4
35.9  99  0 1 8
36.0  100  1 1 0
44.4  21  0 2 4
51.7  35  2 0 8
58.3  18  1 1 12
58.4  19  2 1 4
64.4  17  1 0 16
64.6  53  3 0 0
87.3  16  3 1 8

Structural model:
a = 4.9930 Å, b = 4.9930 Å, c = 24.5614 Å
α = 90.00°, β = 90.00°, γ = 120.00°
Space group R-3m (No. 166, hexagonal axes)
Inequivalent atoms, fractional coordinates:
1 Sc 0.0000 0.0000 0.1247 x6
2 Sc 0.0000 0.0000 0.3752 x6
3 Sn 0.0000 0.0000 0.0000 x3
4 Hg 0.0000 0.0000 0.2456 x6
5 Hg 0.0000 0.0000 0.5000 x3

=====

Structure and computed X-ray powder pattern of Tb2ScHg5 (a PBE-relaxed structure; Cu Kα, 1.54184 Å).

Top 10 peaks for 2θ = 10–90°, sorted by position:
2θ/deg  I (rel.)  (hkl)
18.4  8  1 0 1
34.9  100  1 1 4
35.0  51  2 0 0
50.1  8  0 0 8
50.4  18  2 2 0
62.6  17  2 0 8
62.8  37  3 1 4
73.8  11  2 2 8
84.5  8  3 3 4
84.6  9  4 2 0

Structural model:
a = 5.123 Å, b = 5.123 Å, c = 14.576 Å
α = 90.00°, β = 90.00°, γ = 90.00°
Space group I4/mmm (No. 139)
Inequivalent atoms, fractional coordinates:
1 Tb 0.000 0.000 0.238 x4
2 Sc 0.000 0.000 0.500 x2
3 Hg 0.000 0.000 0.000 x2
4 Hg 0.000 0.500 0.119 x8

=====

Structure and computed X-ray powder pattern of Sc6TcHg3 (a PBE-relaxed structure; Cu Kα, 1.54184 Å).

Top 10 peaks for 2θ = 10–90°, sorted by position:
2θ/deg  I (rel.)  (hkl)
11.0  31  1 0 0
25.2  100  1 1 -2
26.3  31  2 0 1
35.4  32  2 0 -4
36.3  62  0 2 0
36.6  72  3 1 -1
36.8  98  1 1 3
37.2  20  3 1 -2
40.0  26  2 1 -4
51.6  23  2 2 -4

Structural model:
a = 8.508 Å, b = 4.952 Å, c = 10.655 Å
α = 90.00°, β = 108.61°, γ = 90.00°
Space group P2_1/m (No. 11)
Inequivalent atoms, fractional coordinates:
1 Sc 0.034 0.250 0.412 x2
2 Sc 0.184 0.750 0.170 x2
3 Sc 0.280 0.250 0.007 x2
4 Sc 0.351 0.750 0.830 x2
5 Sc 0.376 0.250 0.333 x2
6 Sc 0.398 0.250 0.641 x2
7 Tc 0.460 0.750 0.100 x2
8 Hg 0.012 0.750 0.874 x2
9 Hg 0.104 0.250 0.718 x2
10 Hg 0.280 0.750 0.475 x2

=====

Structure and computed X-ray powder pattern of ThSc2Hg2 (a PBE-relaxed structure; Cu Kα, 1.54184 Å).

Top 10 peaks for 2θ = 10–90°, sorted by position:
2θ/deg  I (rel.)  (hkl)
13.9  36  0 0 1
24.9  100  0 1 1
35.0  84  0 1 2
36.0  87  1 1 0
38.7  19  1 1 1
44.2  23  2 0 1
47.7  27  1 0 3
51.1  29  2 0 2
58.3  21  1 2 1
64.0  29  1 2 2

Structural model:
a = 4.9937 Å, b = 4.9937 Å, c = 6.3688 Å
α = 90.00°, β = 90.00°, γ = 120.00°
Space group P-3m1 (No. 164)
Inequivalent atoms, fractional coordinates:
1 Th 0.0000 0.0000 0.0000 x1
2 Sc 0.3333 0.6667 0.6632 x2
3 Hg 0.3333 0.6667 0.2157 x2

=====

Structure and computed X-ray powder pattern of Sc6Tl3Hg (a PBE-relaxed structure; Cu Kα, 1.54184 Å).

Top 10 peaks for 2θ = 10–90°, sorted by position:
2θ/deg  I (rel.)  (hkl)
24.6  55  1 1 -2
25.1  26  2 0 1
34.7  28  2 0 -4
35.3  58  3 1 -1
35.5  100  0 2 0
43.9  13  2 2 1
50.4  19  2 2 -4
63.6  10  3 3 -1
63.7  13  1 3 3
64.1  11  4 2 2

Structural model:
a = 8.816 Å, b = 5.062 Å, c = 10.909 Å
α = 90.00°, β = 107.45°, γ = 90.00°
Space group P2_1/m (No. 11)
Inequivalent atoms, fractional coordinates:
1 Sc 0.046 0.250 0.412 x2
2 Sc 0.158 0.750 0.185 x2
3 Sc 0.265 0.250 0.002 x2
4 Sc 0.348 0.750 0.806 x2
5 Sc 0.359 0.250 0.318 x2
6 Sc 0.412 0.250 0.615 x2
7 Tl 0.029 0.750 0.888 x2
8 Tl 0.132 0.250 0.710 x2
9 Tl 0.282 0.750 0.478 x2
10 Hg 0.446 0.750 0.112 x2

=====

Structure and computed X-ray powder pattern of Sc11Tl9Hg4 (a PBE-relaxed structure; Cu Kα, 1.54184 Å).

Top 10 peaks for 2θ = 10–90°, sorted by position:
2θ/deg  I (rel.)  (hkl)
24.1  23  4 0 0
24.2  29  0 6 0
26.0  45  0 0 1
34.4  59  4 6 0
35.8  100  0 6 1
36.6  19  5 5 0
43.6  29  4 6 1
62.1  17  5 11 1
65.1  19  4 6 2
66.6  17  9 5 1

Structural model:
a = 14.771 Å, b = 22.065 Å, c = 3.432 Å
α = 90.00°, β = 90.00°, γ = 90.00°
Space group Cmmm (No. 65)
Inequivalent atoms, fractional coordinates:
1 Sc 0.000 0.000 0.000 x2
2 Sc 0.000 0.177 0.000 x4
3 Sc 0.000 0.370 0.000 x4
4 Sc 0.230 0.176 0.000 x8
5 Sc 0.243 0.000 0.000 x4
6 Tl 0.000 0.500 0.500 x2
7 Tl 0.113 0.269 0.500 x8
8 Tl 0.116 0.088 0.500 x8
9 Hg 0.161 0.409 0.500 x8

=====

Structure and computed X-ray powder pattern of Tm8ScHg2 (a PBE-relaxed structure; Cu Kα, 1.54184 Å).

Top 10 peaks for 2θ = 10–90°, sorted by position:
2θ/deg  I (rel.)  (hkl)
25.0  48  2 2 0
30.2  71  1 3 1
30.3  62  0 4 1
32.0  87  3 1 -1
32.8  33  2 0 1
33.0  61  2 4 0
34.0  41  1 1 -2
35.4  100  1 5 -1
36.9  31  2 2 -2
37.9  53  0 2 2

Structural model:
a = 8.718 Å, b = 14.567 Å, c = 5.367 Å
α = 90.00°, β = 110.62°, γ = 90.00°
Space group C2/m (No. 12)
Inequivalent atoms, fractional coordinates:
1 Tm 0.000 0.220 0.000 x4
2 Tm 0.111 0.500 0.802 x4
3 Tm 0.204 0.114 0.606 x8
4 Sc 0.000 0.000 0.000 x2
5 Hg 0.000 0.307 0.500 x4